Record 1
The following is a theoretical powder XRD pattern of MgTi2. It was derived from the PBE geometry in Alexandria, using Cu Kα.
Neutral-atom scattering factors, no anomalous dispersion.

Peak list (12 most intense, 10 to 90 degrees two-theta, most intense first)
2theta, I_rel
39.59, 100
37.22, 28
34.76, 26
68.70, 16
51.84, 15
74.87, 14
62.32, 13
20.80, 10
76.40, 9
18.36, 6
42.32, 5
36.96, 4

abc: 5.677 5.677 5.677
angles: 54.08 54.08 54.08
Positions (direct):
Mg: 0.158 0.158 0.158
Mg: 0.842 0.842 0.842
Ti: 0.000 0.372 0.628
Ti: 0.372 0.628 0.000
Ti: 0.500 0.500 0.500
Ti: 0.628 0.000 0.372

---

Record 2
The following is a theoretical powder XRD pattern of Ca2Cu2SnO6. It was derived from the PBE geometry in Alexandria, using Cu Kα.
Neutral-atom scattering factors, no anomalous dispersion.

Peak list (12 most intense, 10 to 90 degrees two-theta, most intense first)
2theta, I_rel
47.39, 100
33.22, 81
16.24, 68
37.18, 47
25.09, 34
59.35, 30
32.81, 21
79.23, 20
69.50, 15
78.56, 15
61.47, 14
61.97, 12

abc: 5.394 5.394 5.459
angles: 90.00 90.00 120.00
Positions (direct):
Ca: 0.333 0.667 0.000
Ca: 0.667 0.333 0.000
Cu: 0.333 0.667 0.500
Cu: 0.667 0.333 0.500
Sn: 0.000 0.000 0.500
O: 0.000 0.331 0.286
O: 0.000 0.669 0.714
O: 0.331 0.000 0.286
O: 0.331 0.331 0.714
O: 0.669 0.000 0.714
O: 0.669 0.669 0.286

---

Record 3
The following is a theoretical powder XRD pattern of Sc2Al8Ir. It was derived from the PBE geometry in Alexandria, using Cu Kα.
Neutral-atom scattering factors, no anomalous dispersion.

Peak list (12 most intense, 10 to 90 degrees two-theta, most intense first)
2theta, I_rel
39.30, 100
22.74, 61
21.19, 60
43.15, 45
32.71, 40
26.88, 36
76.52, 33
45.33, 20
16.35, 19
55.18, 18
59.97, 17
39.59, 17

abc: 4.193 4.193 10.842
angles: 90.00 90.00 90.00
Positions (direct):
Sc: 0.000 0.000 0.188
Sc: 0.000 0.000 0.812
Al: 0.000 0.500 0.000
Al: 0.000 0.500 0.373
Al: 0.000 0.500 0.627
Al: 0.500 0.000 0.000
Al: 0.500 0.000 0.373
Al: 0.500 0.000 0.627
Al: 0.500 0.500 0.190
Al: 0.500 0.500 0.810
Ir: 0.000 0.000 0.500

---

Record 4
The following is a theoretical powder XRD pattern of AgSe2O5. It was derived from the PBE geometry in Alexandria, using Cu Kα.
Neutral-atom scattering factors, no anomalous dispersion.

Peak list (12 most intense, 10 to 90 degrees two-theta, most intense first)
2theta, I_rel
24.31, 100
20.35, 79
31.34, 73
30.67, 66
29.82, 59
26.44, 55
49.46, 27
44.38, 25
59.65, 24
30.50, 22
15.12, 21
30.35, 20

abc: 6.784 11.651 6.537
angles: 90.00 90.00 90.00
Positions (direct):
Ag: 0.000 0.067 0.250
Ag: 0.000 0.933 0.750
Ag: 0.500 0.433 0.750
Ag: 0.500 0.567 0.250
Se: 0.131 0.343 0.044
Se: 0.131 0.657 0.544
Se: 0.369 0.157 0.544
Se: 0.369 0.843 0.044
Se: 0.631 0.157 0.956
Se: 0.631 0.843 0.456
Se: 0.869 0.343 0.456
Se: 0.869 0.657 0.956
O: 0.000 0.424 0.250
O: 0.000 0.576 0.750
O: 0.166 0.065 0.535
O: 0.166 0.935 0.035
O: 0.218 0.227 0.170
O: 0.218 0.773 0.670
O: 0.282 0.273 0.670
O: 0.282 0.727 0.170
O: 0.334 0.435 0.035
O: 0.334 0.565 0.535
O: 0.500 0.076 0.750
O: 0.500 0.924 0.250
O: 0.666 0.435 0.465
O: 0.666 0.565 0.965
O: 0.718 0.273 0.830
O: 0.718 0.727 0.330
O: 0.782 0.227 0.330
O: 0.782 0.773 0.830
O: 0.834 0.065 0.965
O: 0.834 0.935 0.465